Computed powder X-ray diffraction pattern of Li11Mn13O32 for Cu Kα X-rays, from a PBE+U-relaxed structure.
Kinematic intensities with the Lorentz-polarization factor, no thermal factor.

Most intense lines, 15 to 90 degrees two-theta, in order of falling intensity:
d (Å), I_rel
4.819, 100
2.070, 83
4.768, 63
2.488, 38
1.458, 25
1.470, 24
2.495, 22
1.599, 17
1.396, 14
4.140, 10
1.192, 9
2.509, 9

Crystal structure
```
data_Li11Mn13O32
_chemical_formula_sum 'Li22 Mn26 O64'
_symmetry_space_group_name_H-M 'C 1 2/m 1'
_symmetry_Int_Tables_number 12
_cell_length_a 11.756
_cell_length_b 11.663
_cell_length_c 10.103
_cell_angle_alpha 90.00
_cell_angle_beta 124.93
_cell_angle_gamma 90.00
loop_
_symmetry_equiv_pos_as_xyz
'x,y,z'
'-x,-y,-z'
'-x,y,-z'
'x,-y,z'
'x+1/2,y+1/2,z'
'-x+1/2,-y+1/2,-z'
'-x+1/2,y+1/2,-z'
'x+1/2,-y+1/2,z'
loop_
_atom_site_label
_atom_site_fract_x
_atom_site_fract_y
_atom_site_fract_z
Li1 0.000 0.000 0.000
Li2 0.000 0.247 0.500
Li3 0.071 0.000 0.380
Li4 0.071 0.247 0.879
Li5 0.072 0.500 0.385
Mn1 0.000 0.500 0.000
Mn2 0.249 0.000 0.003
Mn3 0.249 0.127 0.748
Mn4 0.250 0.125 0.251
Mn5 0.250 0.250 0.500
O1 0.128 0.389 0.012
O2 0.128 0.500 0.233
O3 0.142 0.249 0.262
O4 0.142 0.500 0.761
O5 0.143 0.363 0.520
O6 0.144 0.000 0.247
O7 0.146 0.114 0.018
O8 0.146 0.247 0.751
O9 0.147 0.000 0.765
O10 0.147 0.133 0.523
```